# 1
Y2O3: computed powder diffraction line list (Cu Kα (weighted mean of Kα1 and Kα2)), based on a DFT-relaxed cell (PBE, the Materials Project).
No peak broadening, texture or thermal motion is included.

```
data_Y2O3
_chemical_formula_sum 'Y8 O12'
_cell_length_a 6.030
_cell_length_b 3.344
_cell_length_c 13.034
_cell_angle_alpha 90.00
_cell_angle_beta 90.00
_cell_angle_gamma 90.00
_symmetry_space_group_name_H-M 'P n m a'
_symmetry_Int_Tables_number 62
loop_
_symmetry_equiv_pos_as_xyz
'x,y,z'
'-x,-y,-z'
'-x+1/2,-y,z+1/2'
'x+1/2,y,-z+1/2'
'x+1/2,-y+1/2,-z+1/2'
'-x+1/2,y+1/2,z+1/2'
'-x,y+1/2,-z'
'x,-y+1/2,z'
loop_
_atom_site_label
_atom_site_fract_x
_atom_site_fract_y
_atom_site_fract_z
_atom_site_occupancy
Y1 0.183 0.250 0.198 1
Y2 0.241 0.750 0.449 1
O1 0.027 0.250 0.391 1
O2 0.128 0.250 0.781 1
O3 0.139 0.750 0.063 1
```

Largest 10 diffraction maxima, in order of rising 2θ, 2θ = 5–70°:
29.63°, 3.015 Å, I 51
31.20°, 2.867 Å, I 100
31.35°, 2.853 Å, I 93
33.83°, 2.650 Å, I 47
42.70°, 2.118 Å, I 29
44.05°, 2.056 Å, I 27
45.58°, 1.990 Å, I 50
46.68°, 1.946 Å, I 27
53.63°, 1.709 Å, I 36
58.78°, 1.571 Å, I 26

***

# 2
Cs2InAuCl6: computed powder diffraction line list (Cu Kα (weighted mean of Kα1 and Kα2)), based on a DFT-relaxed cell (PBE, the Materials Project).
No peak broadening, texture or thermal motion is included.

```
data_Cs2InAuCl6
_chemical_formula_sum 'Cs8 In4 Au4 Cl24'
_cell_length_a 10.650
_cell_length_b 10.650
_cell_length_c 10.650
_cell_angle_alpha 90.00
_cell_angle_beta 90.00
_cell_angle_gamma 90.00
_symmetry_space_group_name_H-M 'F m -3 m'
_symmetry_Int_Tables_number 225
_symmetry_space_group_name_Hall '-F 4 2 3'
loop_
_atom_site_label
_atom_site_fract_x
_atom_site_fract_y
_atom_site_fract_z
_atom_site_occupancy
Cs1 0.250 0.250 0.250 1
In1 0.000 0.000 0.000 1
Au1 0.000 0.000 0.500 1
Cl1 0.000 0.000 0.243 1
```

Largest 10 diffraction maxima, in order of rising 2θ, 2θ = 5–70°:
16.65°, 5.325 Å, I 8
23.63°, 3.765 Å, I 100
29.04°, 3.074 Å, I 4
33.66°, 2.663 Å, I 51
37.78°, 2.381 Å, I 4
41.54°, 2.174 Å, I 46
48.34°, 1.883 Å, I 35
54.49°, 1.684 Å, I 21
60.20°, 1.537 Å, I 12
65.60°, 1.423 Å, I 25

***

# 3
NdCo2As2: computed powder diffraction line list (Cu Kα (weighted mean of Kα1 and Kα2)), based on a DFT-relaxed cell (PBE, the Materials Project).
No peak broadening, texture or thermal motion is included.

```
data_NdCo2As2
_chemical_formula_sum 'Nd2 Co4 As4'
_cell_length_a 4.053
_cell_length_b 4.053
_cell_length_c 10.277
_cell_angle_alpha 90.00
_cell_angle_beta 90.00
_cell_angle_gamma 90.00
_symmetry_space_group_name_H-M 'I 4/m m m'
_symmetry_Int_Tables_number 139
_symmetry_space_group_name_Hall '-I 4 2'
loop_
_atom_site_label
_atom_site_fract_x
_atom_site_fract_y
_atom_site_fract_z
_atom_site_occupancy
Nd1 0.000 0.000 0.000 1
Co1 0.000 0.500 0.250 1
As1 0.000 0.000 0.365 1
```

Largest 10 diffraction maxima, in order of rising 2θ, 2θ = 5–70°:
31.21°, 2.866 Å, I 26
34.27°, 2.616 Å, I 100
35.88°, 2.503 Å, I 74
44.71°, 2.027 Å, I 57
47.53°, 1.913 Å, I 9
49.74°, 1.833 Å, I 21
57.52°, 1.602 Å, I 45
63.25°, 1.470 Å, I 23
65.09°, 1.433 Å, I 18
69.09°, 1.360 Å, I 16

***

# 4
La6Fe13Sn: computed powder diffraction line list (Cu Kα (weighted mean of Kα1 and Kα2)), based on a DFT-relaxed cell (PBE, the Materials Project).
No peak broadening, texture or thermal motion is included.

```
data_La6Fe13Sn
_chemical_formula_sum 'La24 Fe52 Sn4'
_cell_length_a 8.094
_cell_length_b 8.094
_cell_length_c 24.382
_cell_angle_alpha 90.00
_cell_angle_beta 90.00
_cell_angle_gamma 90.00
_symmetry_space_group_name_H-M 'I 4/m c m'
_symmetry_Int_Tables_number 140
_symmetry_space_group_name_Hall '-I 4 2c'
loop_
_atom_site_label
_atom_site_fract_x
_atom_site_fract_y
_atom_site_fract_z
_atom_site_occupancy
La1 0.000 0.000 0.104 1
La2 0.162 0.338 0.183 1
Fe1 0.000 0.500 0.000 1
Fe2 0.067 0.209 0.500 1
Fe3 0.113 0.387 0.410 1
Fe4 0.178 0.322 0.057 1
Sn1 0.000 0.000 0.250 1
```

Largest 10 diffraction maxima, in order of rising 2θ, 2θ = 5–70°:
7.25°, 12.191 Å, I 51
26.95°, 3.308 Å, I 100
30.76°, 2.907 Å, I 68
31.22°, 2.865 Å, I 67
33.31°, 2.690 Å, I 37
35.06°, 2.560 Å, I 84
36.91°, 2.435 Å, I 72
41.66°, 2.168 Å, I 76
46.39°, 1.957 Å, I 47
56.94°, 1.617 Å, I 30

***

# 5
Sc5Ge4: computed powder diffraction line list (Cu Kα (weighted mean of Kα1 and Kα2)), based on a DFT-relaxed cell (PBE, the Materials Project).
No peak broadening, texture or thermal motion is included.

```
data_Sc5Ge4
_chemical_formula_sum 'Sc20 Ge16'
_cell_length_a 7.190
_cell_length_b 13.817
_cell_length_c 7.272
_cell_angle_alpha 90.00
_cell_angle_beta 90.00
_cell_angle_gamma 90.00
_symmetry_space_group_name_H-M 'P n m a'
_symmetry_Int_Tables_number 62
loop_
_symmetry_equiv_pos_as_xyz
'x,y,z'
'-x,-y,-z'
'-x+1/2,-y,z+1/2'
'x+1/2,y,-z+1/2'
'x+1/2,-y+1/2,-z+1/2'
'-x+1/2,y+1/2,z+1/2'
'-x,y+1/2,-z'
'x,-y+1/2,z'
loop_
_atom_site_label
_atom_site_fract_x
_atom_site_fract_y
_atom_site_fract_z
_atom_site_occupancy
Sc1 0.027 0.100 0.178 1
Sc2 0.121 0.619 0.337 1
Sc3 0.210 0.250 0.503 1
Ge1 0.079 0.250 0.880 1
Ge2 0.165 0.750 0.640 1
Ge3 0.218 0.044 0.532 1
```

Largest 10 diffraction maxima, in order of rising 2θ, 2θ = 5–70°:
26.04°, 3.422 Å, I 37
33.79°, 2.653 Å, I 100
33.95°, 2.640 Å, I 42
35.10°, 2.556 Å, I 41
38.19°, 2.356 Å, I 55
39.60°, 2.276 Å, I 34
39.78°, 2.266 Å, I 54
40.15°, 2.246 Å, I 30
49.50°, 1.842 Å, I 31
52.04°, 1.757 Å, I 30

***

# 6
K2TeBr6: computed powder diffraction line list (Cu Kα (weighted mean of Kα1 and Kα2)), based on a DFT-relaxed cell (PBE, the Materials Project).
No peak broadening, texture or thermal motion is included.

```
data_K2TeBr6
_chemical_formula_sum 'K4 Te2 Br12'
_cell_length_a 7.701
_cell_length_b 7.701
_cell_length_c 11.097
_cell_angle_alpha 90.00
_cell_angle_beta 90.00
_cell_angle_gamma 90.00
_symmetry_space_group_name_H-M 'P 4/m n c'
_symmetry_Int_Tables_number 128
_symmetry_space_group_name_Hall '-P 4 2n'
loop_
_atom_site_label
_atom_site_fract_x
_atom_site_fract_y
_atom_site_fract_z
_atom_site_occupancy
K1 0.000 0.500 0.250 1
Te1 0.000 0.000 0.000 1
Br1 0.000 0.000 0.246 1
Br2 0.202 0.292 0.000 1
```

Largest 10 diffraction maxima, in order of rising 2θ, 2θ = 5–70°:
14.00°, 6.327 Å, I 58
15.97°, 5.549 Å, I 25
16.28°, 5.446 Å, I 37
25.87°, 3.444 Å, I 23
28.21°, 3.164 Å, I 100
30.55°, 2.926 Å, I 29
32.27°, 2.774 Å, I 53
32.89°, 2.723 Å, I 75
36.91°, 2.435 Å, I 23
46.74°, 1.943 Å, I 54